For RbZnP2O9, a structure optimized by DFT (GGA-PBE) gives the simulated PXRD pattern in this record (Cu Ka).
Neutral-atom scattering factors, no anomalous dispersion.

Structural model:
Cell: 7.2319 7.7111 7.9590 Å, 86.94 66.75 79.04°
Space group P-1 (No. 2)
Inequivalent atoms, fractional coordinates:
Rb (0.2201, 0.1617, 0.2863) (multiplicity 2)
Zn (0.2466, 0.7339, 0.9614) (multiplicity 2)
P (0.1804, 0.1001, 0.7866) (multiplicity 2)
P (0.4537, 0.6141, 0.2470) (multiplicity 2)
O (0.0493, 0.2361, 0.9435) (multiplicity 2)
O (0.0717, 0.0457, 0.6779) (multiplicity 2)
O (0.1651, 0.4889, 0.6386) (multiplicity 2)
O (0.2456, 0.5623, 0.3582) (multiplicity 2)
O (0.3236, 0.9591, 0.8429) (multiplicity 2)
O (0.3436, 0.2139, 0.6161) (multiplicity 2)
O (0.3573, 0.5310, 0.7821) (multiplicity 2)
O (0.4554, 0.6996, 0.0686) (multiplicity 2)
O (0.4593, 0.7703, 0.3810) (multiplicity 2)

Top 10 peaks for 2θ from 10° to 90°, low angle first:
2θ = 23.15°, I 78, (1 1 -1); 2θ = 24.73°, I 67, (1 1 2); 2θ = 24.93°, I 56, (1 2 0); 2θ = 26.53°, I 100, (1 -1 2); 2θ = 26.79°, I 64, (0 2 1); 2θ = 27.32°, I 61, (2 0 0); 2θ = 29.38°, I 63, (1 -2 0); 2θ = 29.83°, I 54, (1 2 -1); 2θ = 34.36°, I 62, (1 -2 2); 2θ = 35.65°, I 50, (-1 1 2)